Computed powder X-ray diffraction pattern of K2Tl2FeF6 for Cu Kα X-rays, from a DFT-relaxed cell (GGA+U, Alexandria).
Intensities are scaled so that the largest is 1000.

Principal peaks in the range 10° ≤ 2θ ≤ 90°, by angle:
16.2 deg, intensity 870
21.6 deg, intensity 444
28.4 deg, intensity 672
30.0 deg, intensity 644
33.5 deg, intensity 1000
34.2 deg, intensity 499

Cell and atoms:
abc: 6.3575 6.3575 6.5228
angles: 98.16 98.16 117.37
Atoms (fractional coordinates):
K1 0.1580 0.8420 0.0000
K2 0.8420 0.1580 0.0000
Tl1 0.3299 0.6701 0.5000
Tl2 0.6701 0.3299 0.5000
Fe1 0.5000 0.5000 0.0000
F1 0.1736 0.4481 0.8164
F2 0.3050 0.3050 0.2264
F3 0.4481 0.1736 0.8164
F4 0.5519 0.8264 0.1836
F5 0.6950 0.6950 0.7736
F6 0.8264 0.5519 0.1836